(1)
Theoretical X-ray diffraction stick pattern
Compound: Dy5Ni2Hg2
Radiation: Cu Kα
Structure: a PBE-relaxed structure

Cell: 15.8103 7.3648 7.5597 Å, 90.00 90.00 90.00°
Space group Cmce (No. 64)
Symmetry-distinct sites (fractional):
Dy 0.0000 0.0000 0.0000 [4 per cell]
Dy 0.1200 0.1741 0.3253 [16 per cell]
Ni 0.0000 0.1205 0.6221 [8 per cell]
Hg 0.2174 0.0000 0.0000 [8 per cell]

Main lines, by angle (10° ≤ 2θ ≤ 80°):
2.835 Å, 2θ 31.56, I = 49.9, hkl 3 1 2
2.732 Å, 2θ 32.78, I = 100.0, hkl 4 0 2
2.712 Å, 2θ 33.03, I = 88.0, hkl 5 1 1
2.694 Å, 2θ 33.25, I = 96.0, hkl 4 2 0
2.638 Å, 2θ 33.99, I = 84.0, hkl 0 2 2
2.538 Å, 2θ 35.37, I = 75.9, hkl 4 2 1
2.358 Å, 2θ 38.17, I = 54.1, hkl 1 1 3
2.310 Å, 2θ 38.99, I = 50.2, hkl 1 3 1
2.304 Å, 2θ 39.10, I = 40.4, hkl 5 1 2
1.537 Å, 2θ 60.22, I = 49.6, hkl 5 3 3

---

(2)
Theoretical X-ray diffraction stick pattern
Compound: DyNiHg
Radiation: Cu Kα
Structure: a PBE-relaxed structure

Cell: 3.7293 16.8090 3.9435 Å, 90.00 90.00 90.00°
Space group Cmcm (No. 63)
Symmetry-distinct sites (fractional):
Dy 0.0000 0.0952 0.2500 [4 per cell]
Ni 0.0000 0.4589 0.2500 [4 per cell]
Hg 0.0000 0.2973 0.2500 [4 per cell]

Main lines, by angle (10° ≤ 2θ ≤ 80°):
2.876 Å, 2θ 31.10, I = 38.6, hkl 0 4 1
2.675 Å, 2θ 33.50, I = 100.0, hkl 1 1 1
2.497 Å, 2θ 35.97, I = 65.7, hkl 1 5 0
2.284 Å, 2θ 39.46, I = 39.4, hkl 0 6 1
1.972 Å, 2θ 46.03, I = 21.1, hkl 0 0 2
1.865 Å, 2θ 48.84, I = 17.7, hkl 2 0 0
1.565 Å, 2θ 59.04, I = 13.2, hkl 2 4 1
1.547 Å, 2θ 59.76, I = 31.9, hkl 1 5 2
1.538 Å, 2θ 60.18, I = 14.3, hkl 1 9 1
1.444 Å, 2θ 64.52, I = 18.4, hkl 2 6 1

---

(3)
Theoretical X-ray diffraction stick pattern
Compound: Dy12Ni5Hg
Radiation: Cu Kα
Structure: a PBE-relaxed structure

Cell: 9.3401 9.5239 9.8275 Å, 90.00 90.00 90.00°
Space group Immm (No. 71)
Symmetry-distinct sites (fractional):
Dy 0.0000 0.1893 0.2182 [8 per cell]
Dy 0.1951 0.5000 0.1760 [8 per cell]
Dy 0.2092 0.3192 0.5000 [8 per cell]
Ni 0.0000 0.0000 0.0000 [2 per cell]
Ni 0.0000 0.3609 0.0000 [4 per cell]
Ni 0.0000 0.5000 0.3763 [4 per cell]
Hg 0.0000 0.0000 0.5000 [2 per cell]

Main lines, by angle (10° ≤ 2θ ≤ 80°):
3.093 Å, 2θ 28.86, I = 24.2, hkl 1 0 3
3.021 Å, 2θ 29.57, I = 32.4, hkl 0 3 1
2.960 Å, 2θ 30.20, I = 37.9, hkl 3 1 0
2.759 Å, 2θ 32.45, I = 100.0, hkl 2 2 2
2.581 Å, 2θ 34.75, I = 64.3, hkl 2 1 3
2.564 Å, 2θ 34.99, I = 67.1, hkl 1 3 2
2.536 Å, 2θ 35.39, I = 24.6, hkl 2 3 1
2.519 Å, 2θ 35.64, I = 34.1, hkl 3 2 1
1.624 Å, 2θ 56.68, I = 30.6, hkl 3 5 0
1.530 Å, 2θ 60.51, I = 33.9, hkl 5 3 2

---

(4)
Theoretical X-ray diffraction stick pattern
Compound: DyPaHg2O6
Radiation: Cu Kα
Structure: a PBE-relaxed structure

Cell: 5.8675 5.8675 15.5577 Å, 90.00 90.00 120.00°
Space group R-3 (No. 148, hexagonal axes)
Symmetry-distinct sites (fractional):
Dy 0.0000 0.0000 0.0000 [3 per cell]
Pa 0.0000 0.0000 0.5000 [3 per cell]
Hg 0.0000 0.0000 0.2540 [6 per cell]
O 0.0102 0.6258 0.2495 [18 per cell]

Main lines, by angle (10° ≤ 2θ ≤ 80°):
3.089 Å, 2θ 28.91, I = 100.0, hkl 1 0 4
2.934 Å, 2θ 30.47, I = 80.7, hkl 1 1 0
2.127 Å, 2θ 42.50, I = 40.8, hkl 0 2 4
1.816 Å, 2θ 50.23, I = 22.1, hkl 0 1 8
1.722 Å, 2θ 53.19, I = 39.3, hkl 2 1 4
1.694 Å, 2θ 54.15, I = 21.9, hkl 3 0 0
1.544 Å, 2θ 59.90, I = 14.6, hkl 2 0 8
1.467 Å, 2θ 63.41, I = 11.1, hkl 2 2 0
1.367 Å, 2θ 68.69, I = 18.2, hkl 3 -2 8
1.325 Å, 2θ 71.16, I = 15.7, hkl 4 -3 4

---

(5)
Theoretical X-ray diffraction stick pattern
Compound: DyTcHgO6
Radiation: Cu Kα
Structure: a PBE-relaxed structure

Cell: 5.6910 9.8841 5.4395 Å, 90.00 107.34 90.00°
Space group C2 (No. 5)
Symmetry-distinct sites (fractional):
Dy 0.0000 0.0000 0.0000 [2 per cell]
Tc 0.0000 0.6457 0.0000 [2 per cell]
Hg 0.0000 0.3133 0.5000 [2 per cell]
O 0.1791 0.8206 0.2100 [4 per cell]
O 0.2139 0.5351 0.2207 [4 per cell]
O 0.2148 0.6612 0.8073 [4 per cell]

Main lines, by angle (10° ≤ 2θ ≤ 80°):
4.080 Å, 2θ 21.78, I = 100.0, hkl 1 1 -1
3.580 Å, 2θ 24.87, I = 90.7, hkl 0 2 1
3.126 Å, 2θ 28.56, I = 48.3, hkl 1 1 1
2.817 Å, 2θ 31.76, I = 71.4, hkl 1 3 0
2.716 Å, 2θ 32.98, I = 23.8, hkl 2 0 0
2.596 Å, 2θ 34.55, I = 20.6, hkl 0 0 2
2.416 Å, 2θ 37.22, I = 29.3, hkl 2 2 -1
2.240 Å, 2θ 40.27, I = 27.6, hkl 2 0 -2
2.076 Å, 2θ 43.61, I = 27.8, hkl 1 3 -2
1.777 Å, 2θ 51.42, I = 23.9, hkl 1 3 2

---

(6)
Theoretical X-ray diffraction stick pattern
Compound: Dy8Hg2Os3
Radiation: Cu Kα
Structure: a PBE-relaxed structure

Cell: 9.7729 14.6416 4.8817 Å, 90.00 90.00 90.00°
Space group Cmmm (No. 65)
Symmetry-distinct sites (fractional):
Dy 0.0000 0.1090 0.0000 [4 per cell]
Dy 0.0000 0.3874 0.0000 [4 per cell]
Dy 0.2476 0.3899 0.5000 [8 per cell]
Hg 0.0000 0.2440 0.5000 [4 per cell]
Os 0.0000 0.5000 0.5000 [2 per cell]
Os 0.2496 0.0000 0.0000 [4 per cell]

Main lines, by angle (10° ≤ 2θ ≤ 80°):
7.321 Å, 2θ 12.09, I = 11.3, hkl 0 2 0
4.063 Å, 2θ 21.88, I = 25.4, hkl 2 2 0
2.512 Å, 2θ 35.74, I = 100.0, hkl 2 4 1
2.442 Å, 2θ 36.81, I = 51.4, hkl 4 0 0
2.093 Å, 2θ 43.22, I = 8.9, hkl 2 2 2
1.993 Å, 2θ 45.52, I = 7.8, hkl 2 6 1
1.727 Å, 2θ 53.03, I = 19.5, hkl 4 0 2
1.465 Å, 2θ 63.53, I = 16.2, hkl 4 8 0
1.423 Å, 2θ 65.61, I = 34.6, hkl 2 4 3
1.256 Å, 2θ 75.73, I = 12.4, hkl 4 8 2

---

(7)
Theoretical X-ray diffraction stick pattern
Compound: Dy8HgOs2
Radiation: Cu Kα
Structure: a PBE-relaxed structure

Cell: 8.7231 12.9746 5.5134 Å, 90.00 103.83 90.00°
Space group Cm (No. 8)
Symmetry-distinct sites (fractional):
Dy 0.0000 0.0000 0.0000 [2 per cell]
Dy 0.0768 0.3668 0.7845 [4 per cell]
Dy 0.1825 0.1334 0.6154 [4 per cell]
Dy 0.2611 0.5000 0.4013 [2 per cell]
Dy 0.3793 0.2453 0.2002 [4 per cell]
Hg 0.3808 0.0000 0.1985 [2 per cell]
Os 0.3800 0.3141 0.7007 [4 per cell]

Main lines, by angle (10° ≤ 2θ ≤ 80°):
2.992 Å, 2θ 29.87, I = 53.4, hkl 2 0 1
2.774 Å, 2θ 32.27, I = 100.0, hkl 0 4 1
2.725 Å, 2θ 32.86, I = 81.4, hkl 3 1 -1
2.688 Å, 2θ 33.33, I = 43.2, hkl 1 1 -2
2.677 Å, 2θ 33.48, I = 29.5, hkl 0 0 2
2.575 Å, 2θ 34.84, I = 61.7, hkl 2 4 0
2.364 Å, 2θ 38.06, I = 62.6, hkl 3 3 0
2.314 Å, 2θ 38.91, I = 45.8, hkl 1 5 -1
1.734 Å, 2θ 52.79, I = 28.6, hkl 2 4 2
1.426 Å, 2θ 65.46, I = 31.9, hkl 2 8 1

---

(8)
Theoretical X-ray diffraction stick pattern
Compound: Dy2HgP
Radiation: Cu Kα
Structure: a PBE-relaxed structure

Cell: 3.9086 3.9086 23.1161 Å, 90.00 90.00 120.00°
Space group R-3m (No. 166, hexagonal axes)
Symmetry-distinct sites (fractional):
Dy 0.0000 0.0000 0.2359 [6 per cell]
Hg 0.0000 0.0000 0.0000 [3 per cell]
P 0.0000 0.0000 0.5000 [3 per cell]

Main lines, by angle (10° ≤ 2θ ≤ 80°):
3.349 Å, 2θ 26.61, I = 19.3, hkl 1 0 1
2.921 Å, 2θ 30.61, I = 100.0, hkl 1 0 4
2.731 Å, 2θ 32.79, I = 27.8, hkl 0 1 5
2.568 Å, 2θ 34.93, I = 13.2, hkl 0 0 9
2.198 Å, 2θ 41.07, I = 36.0, hkl 0 1 8
1.954 Å, 2θ 46.47, I = 34.2, hkl 1 1 0
1.624 Å, 2θ 56.67, I = 17.7, hkl 0 2 4
1.574 Å, 2θ 58.65, I = 12.3, hkl 1 0 13
1.555 Å, 2θ 59.43, I = 17.6, hkl 1 1 9
1.249 Å, 2θ 76.22, I = 15.0, hkl 2 1 4